This entry pairs a crystal structure of PmSn5Se7 with its simulated X-ray diffraction stick pattern. Radiation: Cu Kα X-rays. Structure: a structure optimized by DFT (PBE).
Lines closer than 0.1° are merged.

Top 10 peaks for 15 to 90 degrees two-theta, in order of rising 2θ:
two_theta  Rel. int.  (hkl)
25.0  46  0 2 6
28.2  53  0 2 7
29.5  99  1 3 2
30.7  100  1 3 3
39.8  45  1 1 9
41.3  38  1 5 4
42.5  30  0 6 5
42.8  31  1 5 5
43.0  33  1 1 10
43.5  43  2 0 0

Structural model:
Lattice parameters (Å, degrees): 4.1617 14.1234 24.7378 90.00 90.00 90.00
Space group Cmc2_1 (No. 36)
Symmetry-distinct sites (fractional):
Pm  0.0000  0.2105  0.0000
Sn  0.0000  0.0097  0.7576
Sn  0.0000  0.2542  0.3378
Sn  0.0000  0.2813  0.6847
Sn  0.0000  0.4478  0.1109
Sn  0.0000  0.4801  0.9119
Se  0.0000  0.0774  0.1544
Se  0.0000  0.1203  0.8839
Se  0.0000  0.1693  0.4403
Se  0.0000  0.2016  0.5784
Se  0.0000  0.3530  0.2220
Se  0.0000  0.3766  0.7978
Se  0.0000  0.4356  0.5138

***

This entry pairs a crystal structure of CeMn5Ge7 with its simulated X-ray diffraction stick pattern. Radiation: Cu Kα X-rays. Structure: a structure optimized by DFT (PBE).
Lines closer than 0.1° are merged.

Top 10 peaks for 15 to 90 degrees two-theta, in order of rising 2θ:
two_theta  Rel. int.  (hkl)
34.2  39  2 0 0
34.5  64  1 3 0
36.4  29  1 0 3
39.8  44  2 2 0
40.1  31  0 4 0
40.6  45  2 0 2
40.8  100  1 3 2
41.7  40  1 2 3
43.1  36  0 0 4
45.5  53  2 2 2

Structural model:
Lattice parameters (Å, degrees): 5.2410 8.9917 8.3963 90.00 90.00 90.00
Space group Imm2 (No. 44)
Symmetry-distinct sites (fractional):
Ce  0.0000  0.0000  0.0000
Mn  0.0000  0.5000  0.2478
Mn  0.2456  0.2607  0.7473
Ge  0.0000  0.0000  0.3557
Ge  0.0000  0.0000  0.6585
Ge  0.0000  0.3155  0.4838
Ge  0.0000  0.3327  0.0104
Ge  0.0000  0.5000  0.7307

***

This entry pairs a crystal structure of NaPO3F with its simulated X-ray diffraction stick pattern. Radiation: Cu Kα X-rays. Structure: a structure optimized by DFT (PBE).
Lines closer than 0.1° are merged.

Top 10 peaks for 15 to 90 degrees two-theta, in order of rising 2θ:
two_theta  Rel. int.  (hkl)
24.3  27  1 3 0
25.4  44  0 2 1
25.8  100  2 0 0
29.3  21  2 2 0
36.3  14  1 3 1
37.0  48  1 5 0
39.5  26  2 0 -2
51.8  26  4 0 -2
53.8  16  4 2 -2
61.4  18  2 0 2

Structural model:
Lattice parameters (Å, degrees): 7.6971 12.9608 4.6356 90.00 116.20 90.00
Space group C2/c (No. 15)
Symmetry-distinct sites (fractional):
Na  0.0000  0.0883  0.2500
P  0.0000  0.4634  0.7500
O  0.0000  0.3447  0.7500
O  0.1480  0.4693  0.5547
F  0.0000  0.0870  0.7500

***

This entry pairs a crystal structure of La2TbPrDy2 with its simulated X-ray diffraction stick pattern. Radiation: Cu Kα X-rays. Structure: a structure optimized by DFT (PBE).
Lines closer than 0.1° are merged.

Top 10 peaks for 15 to 90 degrees two-theta, in order of rising 2θ:
two_theta  Rel. int.  (hkl)
26.3  39  0 1 1
28.5  99  2 2 0
29.1  100  0 6 0
29.7  80  0 3 1
30.8  41  1 2 1
32.1  43  1 6 0
33.2  67  2 4 0
35.2  45  1 4 1
40.4  69  2 3 1
53.9  33  1 9 1

Structural model:
Lattice parameters (Å, degrees): 6.6529 18.4104 3.4488 90.00 90.00 90.00
Space group Pnnm (No. 58)
Symmetry-distinct sites (fractional):
La  0.2226  0.1884  0.0000
Tb  0.0000  0.0000  0.0000
Pr  0.0000  0.5000  0.0000
Dy  0.2221  0.3553  0.5000

***

This entry pairs a crystal structure of Tm3Bi2B with its simulated X-ray diffraction stick pattern. Radiation: Cu Kα X-rays. Structure: a structure optimized by DFT (PBE).
Lines closer than 0.1° are merged.

Top 10 peaks for 15 to 90 degrees two-theta, in order of rising 2θ:
two_theta  Rel. int.  (hkl)
25.6  49  0 0 1
28.0  32  0 2 1
30.1  85  2 0 0
32.2  91  1 5 0
34.4  100  0 4 1
39.9  31  2 0 1
41.6  52  1 5 1
46.3  51  2 4 1
54.8  33  3 5 0
61.4  51  1 9 1

Structural model:
Lattice parameters (Å, degrees): 5.9417 15.7313 3.4857 90.00 90.00 90.00
Space group Cmmm (No. 65)
Symmetry-distinct sites (fractional):
Tm  0.0000  0.0000  0.0000
Tm  0.0000  0.3858  0.5000
Bi  0.0000  0.1734  0.5000
B  0.0000  0.5000  0.0000

***

This entry pairs a crystal structure of Pu4Ge2Ir with its simulated X-ray diffraction stick pattern. Radiation: Cu Kα X-rays. Structure: a structure optimized by DFT (PBE).
Lines closer than 0.1° are merged.

Top 10 peaks for 15 to 90 degrees two-theta, in order of rising 2θ:
two_theta  Rel. int.  (hkl)
21.9  20  0 0 9
28.8  41  1 0 4
29.7  100  0 1 5
36.7  37  1 0 10
38.5  73  0 1 11
44.3  21  0 1 14
47.7  71  1 1 0
48.5  29  1 0 16
62.9  18  2 0 11
73.8  18  1 1 21

Structural model:
Lattice parameters (Å, degrees): 3.8117 3.8117 36.5132 90.00 90.00 120.00
Space group R-3m (No. 166, hexagonal axes)
Symmetry-distinct sites (fractional):
Pu  0.0000  0.0000  0.1198
Pu  0.0000  0.0000  0.3199
Ge  0.0000  0.0000  0.3983
Ir  0.0000  0.0000  0.5000

***

What did the second record say?
This entry pairs a crystal structure of CeMn5Ge7 with its simulated X-ray diffraction stick pattern. Radiation: Cu Kα X-rays. Structure: a structure optimized by DFT (PBE).
Lines closer than 0.1° are merged.

Top 10 peaks for 15 to 90 degrees two-theta, in order of rising 2θ:
two_theta  Rel. int.  (hkl)
34.2  39  2 0 0
34.5  64  1 3 0
36.4  29  1 0 3
39.8  44  2 2 0
40.1  31  0 4 0
40.6  45  2 0 2
40.8  100  1 3 2
41.7  40  1 2 3
43.1  36  0 0 4
45.5  53  2 2 2

Structural model:
Lattice parameters (Å, degrees): 5.2410 8.9917 8.3963 90.00 90.00 90.00
Space group Imm2 (No. 44)
Symmetry-distinct sites (fractional):
Ce  0.0000  0.0000  0.0000
Mn  0.0000  0.5000  0.2478
Mn  0.2456  0.2607  0.7473
Ge  0.0000  0.0000  0.3557
Ge  0.0000  0.0000  0.6585
Ge  0.0000  0.3155  0.4838
Ge  0.0000  0.3327  0.0104
Ge  0.0000  0.5000  0.7307